Entry 1:
# Ca2Ta3CuBrO10
Calculated PXRD pattern, λ = 1.5418 Å (Cu Kα). Input: a crystal structure in the Materials Project, relaxed with PBE.

Most intense lines, 2θ = 15–90°, sorted by position:
two_theta	I_rel	(hkl)
22.54	100	0 0 4
28.28	40	1 0 3
32.09	96	1 1 0
39.57	18	1 1 4
46.02	38	2 0 0
46.38	10	1 0 7
51.83	38	2 0 4
54.91	13	2 1 3
57.21	30	1 1 8
67.12	20	2 2 0
71.80	15	2 2 4
76.37	13	3 1 0

Structure:
Cell lengths 3.9433, 3.9433, 15.7864 Å; angles 90.00, 90.00, 90.00 degrees
Fractional coordinates of all 17 atoms:
Ca1 0.0000 0.0000 0.1446
Ca2 0.0000 0.0000 0.8554
Ta1 0.5000 0.5000 0.0000
Ta2 0.5000 0.5000 0.2682
Ta3 0.5000 0.5000 0.7318
Cu1 0.5000 0.5000 0.5000
Br1 0.0000 0.0000 0.5000
O1 0.0000 0.5000 0.0000
O2 0.0000 0.5000 0.2413
O3 0.0000 0.5000 0.7587
O4 0.5000 0.0000 0.0000
O5 0.5000 0.0000 0.2413
O6 0.5000 0.0000 0.7587
O7 0.5000 0.5000 0.1247
O8 0.5000 0.5000 0.3820
O9 0.5000 0.5000 0.6180
O10 0.5000 0.5000 0.8753

=====

Entry 2:
# Ca2H3Br
Calculated PXRD pattern, λ = 1.5418 Å (Cu Kα). Input: a crystal structure in the Materials Project, relaxed with PBE.

Most intense lines, 2θ = 15–90°, sorted by position:
two_theta	I_rel	(hkl)
26.36	7	1 0 0
29.40	100	0 1 1
37.16	57	1 0 2
39.01	14	0 0 3
46.53	27	1 1 0
56.00	15	2 0 1
60.02	11	0 1 4
60.99	12	0 2 2
62.29	20	1 1 3
73.93	7	1 0 5
75.69	12	1 2 1
80.04	11	2 1 2

Structure:
Cell lengths 3.9036, 3.9036, 6.9273 Å; angles 90.00, 90.00, 120.00 degrees
Fractional coordinates of all 6 atoms:
Ca1 0.3333 0.6667 0.3160
Ca2 0.6667 0.3333 0.6840
H1 0.0000 0.0000 0.5000
H2 0.3333 0.6667 0.6458
H3 0.6667 0.3333 0.3542
Br1 0.0000 0.0000 0.0000